1.
Simulated powder XRD pattern
Compound: Nb2Zn2BiO8
Radiation: Cu Kα X-rays
Structure: the PBE geometry in Alexandria
No peak broadening, texture or thermal motion is included.

Structural model:
a b c (Å): 20.9139 5.8984 5.4838
angles (deg): 90.00 92.85 90.00
Space group C2/c (No. 15)
Symmetry-distinct sites (fractional):
Nb 0.1222 0.1617 0.2010 x8
Zn 0.2182 0.3444 0.7105 x8
Bi 0.0000 0.2951 0.7500 x4
O 0.0624 0.3987 0.1070 x8
O 0.0718 0.0799 0.5028 x8
O 0.1732 0.1148 0.8961 x8
O 0.2000 0.3503 0.3418 x8

Main lines, low angle first (2θ from 5° to 70°):
| two_theta | intensity | h k l |
| --- | --- | --- |
| 25.20 | 72 | 3 1 -1 |
| 26.14 | 33 | 5 1 0 |
| 30.31 | 79 | 5 1 -1 |
| 31.47 | 100 | 5 1 1 |
| 32.70 | 41 | 0 0 2 |
| 34.54 | 39 | 0 2 1 |

***

2.
Simulated powder XRD pattern
Compound: Rb6NbBi4
Radiation: Cu Kα X-rays
Structure: the PBE geometry in Alexandria
No peak broadening, texture or thermal motion is included.

Structural model:
a b c (Å): 11.6402 11.6402 9.2421
angles (deg): 90.00 90.00 120.00
Space group P6_3mc (No. 186)
Symmetry-distinct sites (fractional):
Rb 0.0591 0.5296 0.0000 x6
Rb 0.1439 0.2878 0.3158 x6
Nb 0.3333 0.6667 0.6103 x2
Bi 0.2017 0.4034 0.7032 x6
Bi 0.3333 0.6667 0.3107 x2

Main lines, low angle first (2θ from 5° to 70°):
| two_theta | intensity | h k l |
| --- | --- | --- |
| 25.28 | 79 | 2 1 1 |
| 26.16 | 97 | 2 0 2 |
| 28.26 | 84 | 3 0 1 |
| 30.37 | 100 | 1 0 3 |
| 30.72 | 86 | 2 2 0 |
| 49.28 | 77 | 3 2 3 |

***

3.
Simulated powder XRD pattern
Compound: RbSrNb2Bi
Radiation: Cu Kα X-rays
Structure: the PBE geometry in Alexandria
No peak broadening, texture or thermal motion is included.

Structural model:
a b c (Å): 5.0456 5.0456 6.1840
angles (deg): 90.00 90.00 90.00
Space group P4/mmm (No. 123)
Symmetry-distinct sites (fractional):
Rb 0.0000 0.0000 0.0000 x1
Sr 0.5000 0.5000 0.5000 x1
Nb 0.0000 0.5000 0.0000 x2
Bi 0.0000 0.0000 0.5000 x1

Main lines, low angle first (2θ from 5° to 70°):
| two_theta | intensity | h k l |
| --- | --- | --- |
| 17.58 | 28 | 1 0 0 |
| 28.89 | 100 | 0 0 2 |
| 35.59 | 39 | 2 0 0 |
| 46.46 | 37 | 2 0 2 |
| 51.19 | 27 | 2 2 0 |
| 59.86 | 38 | 2 2 2 |

***

4.
Simulated powder XRD pattern
Compound: Nb2Re2Bi
Radiation: Cu Kα X-rays
Structure: the PBE geometry in Alexandria
No peak broadening, texture or thermal motion is included.

Structural model:
a b c (Å): 4.0394 4.0394 13.0031
angles (deg): 90.00 90.00 90.00
Space group I4/mmm (No. 139)
Symmetry-distinct sites (fractional):
Nb 0.0000 0.0000 0.1223 x4
Re 0.0000 0.5000 0.2500 x4
Bi 0.0000 0.0000 0.5000 x2

Main lines, low angle first (2θ from 5° to 70°):
| two_theta | intensity | h k l |
| --- | --- | --- |
| 30.24 | 46 | 1 0 3 |
| 34.29 | 100 | 1 1 2 |
| 41.29 | 22 | 1 0 5 |
| 42.11 | 21 | 1 1 4 |
| 44.88 | 41 | 2 0 0 |
| 53.04 | 27 | 1 1 6 |

***

5.
Simulated powder XRD pattern
Compound: Nb2BiRu2
Radiation: Cu Kα X-rays
Structure: the PBE geometry in Alexandria
No peak broadening, texture or thermal motion is included.

Structural model:
a b c (Å): 7.8382 7.8382 3.0380
angles (deg): 90.00 90.00 90.00
Space group P4/mbm (No. 127)
Symmetry-distinct sites (fractional):
Nb 0.1463 0.3537 0.0000 x4
Bi 0.0000 0.0000 0.0000 x2
Ru 0.1377 0.6377 0.5000 x4

Main lines, low angle first (2θ from 5° to 70°):
| two_theta | intensity | h k l |
| --- | --- | --- |
| 32.30 | 19 | 2 2 0 |
| 33.64 | 33 | 1 1 1 |
| 36.24 | 100 | 3 1 0 |
| 39.24 | 79 | 2 1 1 |
| 47.33 | 21 | 3 1 1 |
| 61.02 | 23 | 0 0 2 |

***

6.
Simulated powder XRD pattern
Compound: Nb4BiS8
Radiation: Cu Kα X-rays
Structure: the PBE geometry in Alexandria
No peak broadening, texture or thermal motion is included.

Structural model:
a b c (Å): 10.4061 10.4061 10.4061
angles (deg): 90.00 90.00 90.00
Space group F-43m (No. 216)
Symmetry-distinct sites (fractional):
Nb 0.1043 0.1043 0.3957 x16
Bi 0.0000 0.0000 0.0000 x4
S 0.1280 0.1280 0.6280 x16
S 0.1459 0.1459 0.1459 x16

Main lines, low angle first (2θ from 5° to 70°):
| two_theta | intensity | h k l |
| --- | --- | --- |
| 17.04 | 55 | 2 0 0 |
| 24.19 | 41 | 2 2 0 |
| 28.45 | 100 | 3 1 1 |
| 42.56 | 30 | 4 2 2 |
| 45.28 | 72 | 5 1 1 |
| 49.55 | 52 | 4 4 0 |

***

7.
Simulated powder XRD pattern
Compound: NbBiSe
Radiation: Cu Kα X-rays
Structure: the PBE geometry in Alexandria
No peak broadening, texture or thermal motion is included.

Structural model:
a b c (Å): 3.3569 3.3569 23.2821
angles (deg): 90.00 90.00 120.00
Space group R3m (No. 160, hexagonal axes)
Symmetry-distinct sites (fractional):
Nb 0.0000 0.0000 0.0000 x3
Bi 0.0000 0.0000 0.4374 x3
Se 0.0000 0.0000 0.2594 x3

Main lines, low angle first (2θ from 5° to 70°):
| two_theta | intensity | h k l |
| --- | --- | --- |
| 11.40 | 70 | 0 0 3 |
| 31.00 | 57 | 1 0 1 |
| 31.72 | 77 | 0 1 2 |
| 34.49 | 80 | 1 0 4 |
| 36.43 | 100 | 0 1 5 |
| 41.24 | 77 | 1 0 7 |

***

8.
Simulated powder XRD pattern
Compound: NbBiTe3
Radiation: Cu Kα X-rays
Structure: the PBE geometry in Alexandria
No peak broadening, texture or thermal motion is included.

Structural model:
a b c (Å): 7.7731 7.7731 5.6674
angles (deg): 90.00 90.00 120.00
Space group P6_3/mmc (No. 194)
Symmetry-distinct sites (fractional):
Nb 0.0000 0.0000 0.0000 x2
Bi 0.3333 0.6667 0.2500 x2
Te 0.1808 0.3615 0.7500 x6

Main lines, low angle first (2θ from 5° to 70°):
| two_theta | intensity | h k l |
| --- | --- | --- |
| 30.90 | 100 | 2 0 1 |
| 31.57 | 15 | 0 0 2 |
| 41.66 | 27 | 2 0 2 |
| 46.75 | 27 | 2 2 0 |
| 55.80 | 19 | 2 0 3 |
| 57.09 | 16 | 4 0 1 |

***

9.
Simulated powder XRD pattern
Compound: Ti6NbBi
Radiation: Cu Kα X-rays
Structure: the PBE geometry in Alexandria
No peak broadening, texture or thermal motion is included.

Structural model:
a b c (Å): 4.5200 6.7917 9.4942
angles (deg): 90.00 90.00 90.00
Space group Amm2 (No. 38)
Symmetry-distinct sites (fractional):
Ti 0.0000 0.0000 0.0000 x2
Ti 0.0000 0.2200 0.7607 x4
Ti 0.5000 0.0000 0.7937 x2
Ti 0.5000 0.2370 0.5282 x4
Nb 0.0000 0.0000 0.5187 x2
Bi 0.5000 0.0000 0.2714 x2

Main lines, low angle first (2θ from 5° to 70°):
| two_theta | intensity | h k l |
| --- | --- | --- |
| 16.04 | 25 | 0 1 1 |
| 25.46 | 30 | 1 1 1 |
| 27.24 | 15 | 1 0 2 |
| 37.91 | 25 | 0 0 4 |
| 38.19 | 100 | 1 2 2 |
| 39.89 | 23 | 2 0 0 |

***

10.
Simulated powder XRD pattern
Compound: Ti6Nb2Bi
Radiation: Cu Kα X-rays
Structure: the PBE geometry in Alexandria
No peak broadening, texture or thermal motion is included.

Structural model:
a b c (Å): 7.2145 4.6533 10.0102
angles (deg): 90.00 102.79 90.00
Space group P2_1/m (No. 11)
Symmetry-distinct sites (fractional):
Ti 0.0010 0.2500 0.0649 x2
Ti 0.0098 0.7500 0.2399 x2
Ti 0.0180 0.2500 0.4282 x2
Ti 0.3055 0.7500 0.4575 x2
Ti 0.3336 0.2500 0.9791 x2
Ti 0.3486 0.2500 0.6178 x2
Nb 0.3199 0.2500 0.3023 x2
Nb 0.3362 0.7500 0.1442 x2
Bi 0.3206 0.7500 0.7993 x2

Main lines, low angle first (2θ from 5° to 70°):
| two_theta | intensity | h k l |
| --- | --- | --- |
| 21.15 | 23 | 0 1 1 |
| 38.20 | 100 | 1 1 3 |
| 38.38 | 49 | 3 0 0 |
| 38.48 | 99 | 2 1 -3 |
| 38.70 | 52 | 0 2 0 |
| 55.65 | 32 | 3 2 0 |

***

What did the first record say?
Simulated powder XRD pattern
Compound: Nb2Zn2BiO8
Radiation: Cu Kα X-rays
Structure: the PBE geometry in Alexandria
No peak broadening, texture or thermal motion is included.

Structural model:
a b c (Å): 20.9139 5.8984 5.4838
angles (deg): 90.00 92.85 90.00
Space group C2/c (No. 15)
Symmetry-distinct sites (fractional):
Nb 0.1222 0.1617 0.2010 x8
Zn 0.2182 0.3444 0.7105 x8
Bi 0.0000 0.2951 0.7500 x4
O 0.0624 0.3987 0.1070 x8
O 0.0718 0.0799 0.5028 x8
O 0.1732 0.1148 0.8961 x8
O 0.2000 0.3503 0.3418 x8

Main lines, low angle first (2θ from 5° to 70°):
| two_theta | intensity | h k l |
| --- | --- | --- |
| 25.20 | 72 | 3 1 -1 |
| 26.14 | 33 | 5 1 0 |
| 30.31 | 79 | 5 1 -1 |
| 31.47 | 100 | 5 1 1 |
| 32.70 | 41 | 0 0 2 |
| 34.54 | 39 | 0 2 1 |